Structure and computed X-ray diffraction stick pattern of MgPa2O7 (a cell relaxed with PBE; Cu Kα (λ = 1.5418 Å)).
Intensities are scaled so that the largest is 100.

Structure:
```
data_MgPa2O7
_space_group_name_H-M_alt 'C 1 2/m 1'
_space_group_IT_number 12
_space_group_name_Hall '-C 2y'
_cell_length_a 6.5497
_cell_length_b 3.9144
_cell_length_c 10.0320
_cell_angle_alpha 90.00
_cell_angle_beta 97.89
_cell_angle_gamma 90.00
loop_
_atom_site_label
_atom_site_type_symbol
_atom_site_fract_x
_atom_site_fract_y
_atom_site_fract_z
Mg1 Mg 0.0000 0.0000 0.0000
Pa1 Pa 0.0354 0.5000 0.7112
O1 O 0.0000 0.5000 0.5000
O2 O 0.0964 0.5000 0.9643
O3 O 0.1148 0.0000 0.2011
O4 O 0.1948 0.0000 0.6690
```

Peak list (6 most intense, 10 to 90 degrees two-theta, low angle first)
2theta  I (rel.)  (hkl)
17.85  98  0 0 2
26.60  100  1 1 0
26.92  33  0 0 3
27.49  75  2 0 0
31.11  46  1 1 -2
33.29  38  1 1 2

***

Structure and computed X-ray diffraction stick pattern of MgPaPdO6 (a cell relaxed with PBE; Cu Kα (λ = 1.5418 Å)).
Intensities are scaled so that the largest is 100.

Structure:
```
data_MgPaPdO6
_space_group_name_H-M_alt 'P 3 1 2'
_space_group_IT_number 149
_space_group_name_Hall 'P 3 2'
_cell_length_a 5.2167
_cell_length_b 5.2167
_cell_length_c 4.7495
_cell_angle_alpha 90.00
_cell_angle_beta 90.00
_cell_angle_gamma 120.00
loop_
_atom_site_label
_atom_site_type_symbol
_atom_site_fract_x
_atom_site_fract_y
_atom_site_fract_z
Mg1 Mg 0.0000 0.0000 0.0000
Pa1 Pa 0.6667 0.3333 0.5000
Pd1 Pd 0.3333 0.6667 0.0000
O1 O 0.0154 0.3447 0.2344
```

Peak list (6 most intense, 10 to 90 degrees two-theta, low angle first)
2theta  I (rel.)  (hkl)
19.65  35  1 0 0
27.24  100  1 0 1
34.38  29  1 1 0
44.41  27  2 0 1
52.08  30  2 -1 2
57.34  26  3 -1 1

***

Structure and computed X-ray diffraction stick pattern of Mg2PaRuO8 (a cell relaxed with PBE; Cu Kα (λ = 1.5418 Å)).
Intensities are scaled so that the largest is 100.

Structure:
```
data_Mg2PaRuO8
_space_group_name_H-M_alt 'C m m m'
_space_group_IT_number 65
_space_group_name_Hall '-C 2 2'
_cell_length_a 6.6279
_cell_length_b 6.7758
_cell_length_c 6.5351
_cell_angle_alpha 90.00
_cell_angle_beta 90.00
_cell_angle_gamma 90.00
loop_
_atom_site_label
_atom_site_type_symbol
_atom_site_fract_x
_atom_site_fract_y
_atom_site_fract_z
Mg1 Mg 0.0000 0.0000 0.2440
Pa1 Pa 0.0000 0.5000 0.5000
Ru1 Ru 0.0000 0.5000 0.0000
O1 O 0.0000 0.3069 0.2198
O2 O 0.1949 0.0000 0.5000
O3 O 0.2193 0.0000 0.0000
```

Peak list (6 most intense, 10 to 90 degrees two-theta, low angle first)
2theta  I (rel.)  (hkl)
18.73  100  1 1 0
26.31  45  0 2 0
26.90  41  2 0 0
33.31  71  1 1 2
38.27  32  0 2 2
51.05  31  1 3 2

***

Structure and computed X-ray diffraction stick pattern of MgPa2TlO8 (a cell relaxed with PBE; Cu Kα (λ = 1.5418 Å)).
Intensities are scaled so that the largest is 100.

Structure:
```
data_MgPa2TlO8
_space_group_name_H-M_alt 'P -3'
_space_group_IT_number 147
_space_group_name_Hall '-P 3'
_cell_length_a 6.0781
_cell_length_b 6.0781
_cell_length_c 5.6985
_cell_angle_alpha 90.00
_cell_angle_beta 90.00
_cell_angle_gamma 120.00
loop_
_atom_site_label
_atom_site_type_symbol
_atom_site_fract_x
_atom_site_fract_y
_atom_site_fract_z
Mg1 Mg 0.0000 0.0000 0.0000
Pa1 Pa 0.3333 0.6667 0.4068
Tl1 Tl 0.0000 0.0000 0.5000
O1 O 0.0537 0.3517 0.6796
O2 O 0.3333 0.6667 0.0754
```

Peak list (6 most intense, 10 to 90 degrees two-theta, low angle first)
2theta  I (rel.)  (hkl)
15.55  100  0 0 1
23.00  35  1 0 1
29.39  93  1 1 0
33.42  77  2 -1 1
35.84  31  1 0 2
43.54  30  2 -1 2

***

Structure and computed X-ray diffraction stick pattern of Rb2MgPbO4 (a cell relaxed with PBE; Cu Kα (λ = 1.5418 Å)).
Intensities are scaled so that the largest is 100.

Structure:
```
data_Rb2MgPbO4
_space_group_name_H-M_alt 'I -4'
_space_group_IT_number 82
_space_group_name_Hall 'I -4'
_cell_length_a 6.1629
_cell_length_b 6.1629
_cell_length_c 8.2864
_cell_angle_alpha 90.00
_cell_angle_beta 90.00
_cell_angle_gamma 90.00
loop_
_atom_site_label
_atom_site_type_symbol
_atom_site_fract_x
_atom_site_fract_y
_atom_site_fract_z
Rb1 Rb 0.0000 0.0000 0.0000
Rb2 Rb 0.0000 0.5000 0.2500
Mg1 Mg 0.0000 0.0000 0.5000
Pb1 Pb 0.0000 0.5000 0.7500
O1 O 0.1394 0.7548 0.6174
```

Peak list (6 most intense, 10 to 90 degrees two-theta, low angle first)
2theta  I (rel.)  (hkl)
17.94  37  1 0 1
20.38  23  1 1 0
28.98  42  2 0 0
29.75  100  1 1 2
51.84  42  3 1 2
53.28  22  2 0 4

***

Structure and computed X-ray diffraction stick pattern of MgPbSe2O6 (a cell relaxed with PBE; Cu Kα (λ = 1.5418 Å)).
Intensities are scaled so that the largest is 100.

Structure:
```
data_MgPbSe2O6
_space_group_name_H-M_alt 'R -3'
_space_group_IT_number 148
_space_group_name_Hall '-R 3'
_cell_length_a 5.4352
_cell_length_b 5.4352
_cell_length_c 17.4913
_cell_angle_alpha 90.00
_cell_angle_beta 90.00
_cell_angle_gamma 120.00
loop_
_atom_site_label
_atom_site_type_symbol
_atom_site_fract_x
_atom_site_fract_y
_atom_site_fract_z
Mg1 Mg 0.0000 0.0000 0.0000
Pb1 Pb 0.0000 0.0000 0.5000
Se1 Se 0.0000 0.0000 0.2262
O1 O 0.0211 0.3895 0.4030
```

Peak list (6 most intense, 10 to 90 degrees two-theta, low angle first)
2theta  I (rel.)  (hkl)
15.20  44  0 0 3
19.53  33  1 0 1
27.85  100  1 0 4
32.96  53  1 1 0
36.48  50  1 1 3
55.79  26  3 -1 4

***

Structure and computed X-ray diffraction stick pattern of Sr2MgPbO5 (a cell relaxed with PBE; Cu Kα (λ = 1.5418 Å)).
Intensities are scaled so that the largest is 100.

Structure:
```
data_Sr2MgPbO5
_space_group_name_H-M_alt 'C m c 21'
_space_group_IT_number 36
_space_group_name_Hall 'C 2c -2'
_cell_length_a 3.5059
_cell_length_b 13.5719
_cell_length_c 11.5028
_cell_angle_alpha 90.00
_cell_angle_beta 90.00
_cell_angle_gamma 90.00
loop_
_atom_site_label
_atom_site_type_symbol
_atom_site_fract_x
_atom_site_fract_y
_atom_site_fract_z
Sr1 Sr 0.0000 0.0981 0.0000
Sr2 Sr 0.0000 0.1553 0.6084
Mg1 Mg 0.0000 0.2294 0.3515
Pb1 Pb 0.0000 0.4608 0.7810
O1 O 0.0000 0.0713 0.3839
O2 O 0.0000 0.2709 0.9797
O3 O 0.0000 0.3057 0.7333
O4 O 0.0000 0.3840 0.3365
O5 O 0.0000 0.4917 0.1057
```

Peak list (6 most intense, 10 to 90 degrees two-theta, low angle first)
2theta  I (rel.)  (hkl)
13.05  38  0 2 0
20.24  30  0 2 2
26.70  34  0 2 3
27.40  32  0 4 1
30.58  100  1 1 2
32.30  27  1 3 0